Structure and simulated XRD peak list of Ca8TlCu2 (DFT lattice parameters and positions (GGA-PBE); λ = 1.5418 Å (Cu Kα)).
Lines closer than 0.1° are merged.

Structure:
```
11
Lattice="4.6597 -6.8665 0.0000 4.6597 6.8665 0.0000 -1.4599 0.0000 5.5724" Properties=species:S:1:pos:R:3 pbc="T T T"
Ca 0.0000 0.0000 0.0000
Ca 0.7918 1.7894 3.3819
Ca 3.2270 3.3224 1.0743
Ca 0.7918 -1.7894 3.3819
Ca 4.2016 1.7900 4.3398
Ca 3.2270 -3.3224 1.0743
Ca 4.2016 -1.7900 4.3398
Ca 6.4505 0.0000 2.1481
Tl 3.2231 0.0000 1.0778
Cu 2.4948 4.3382 3.8578
Cu 2.4948 -4.3382 3.8578
```

Most intense lines, 2θ = 10–90°, in order of rising 2θ:
2θ/deg	I (rel.)
11.74	62
17.68	69
19.70	56
20.53	73
21.76	89
28.45	43
30.58	100
30.71	93
31.79	49
32.79	61
35.74	71
36.72	58